For Fe5SnP6O24, DFT lattice parameters and positions (PBE+U) gives the calculated PXRD pattern in this record (Cu Kα (λ = 1.5418 Å)).
No peak broadening, texture or thermal motion is included.

Peak list (10 most intense, 2θ = 5–70°, low angle first)
- 20.4°, I = 100, hkl 1 1 0
- 20.8°, I = 19, hkl 1 0 4
- 24.2°, I = 82, hkl 1 1 3
- 33.1°, I = 73, hkl 1 1 6
- 35.8°, I = 44, hkl 3 0 0
- 47.5°, I = 30, hkl 1 2 8
- 49.6°, I = 28, hkl 4 -2 6
- 56.0°, I = 26, hkl 4 1 0
- 56.7°, I = 15, hkl 3 1 8
- 62.7°, I = 23, hkl 4 1 6

Structure:
```
data_Fe5SnP6O24
_cell_length_a 8.6863
_cell_length_b 8.6863
_cell_length_c 20.7190
_cell_angle_alpha 90.00
_cell_angle_beta 90.00
_cell_angle_gamma 120.00
_space_group_name_H-M_alt 'R 3'
_space_group_IT_number 146
_space_group_name_Hall 'R 3'
loop_
_atom_site_label
_atom_site_type_symbol
_atom_site_fract_x
_atom_site_fract_y
_atom_site_fract_z
_atom_site_occupancy
Fe1 Fe 0.0000 0.0000 0.0000 1
Fe2 Fe 0.0000 0.0000 0.1395 1
Fe3 Fe 0.0000 0.0000 0.3489 1
Fe4 Fe 0.0000 0.0000 0.4952 1
Fe5 Fe 0.0000 0.0000 0.6420 1
Sn1 Sn 0.0000 0.0000 0.8536 1
P1 P 0.0055 0.7091 0.2443 1
P2 P 0.0367 0.3665 0.4132 1
O1 O 0.0024 0.2067 0.8097 1
O2 O 0.0114 0.8275 0.9218 1
O3 O 0.0152 0.1768 0.4228 1
O4 O 0.0155 0.8110 0.3054 1
O5 O 0.1394 0.6744 0.8500 1
O6 O 0.1458 0.4656 0.3542 1
O7 O 0.1611 0.4843 0.7381 1
O8 O 0.1716 0.6836 0.2346 1
```